This entry pairs a crystal structure of Li2MgZnF6 with its theoretical X-ray diffraction stick pattern. Radiation: copper Kα. Structure: the GGA-PBE geometry in Alexandria.

Main lines, in order of rising 2θ (2θ from 10° to 90°):
2θ 21.0, rel. 27, (1 0 1); 2θ 23.7, rel. 100, (0 1 2); 2θ 32.6, rel. 40, (1 0 4); 2θ 40.1, rel. 62, (2 -1 3); 2θ 53.1, rel. 49, (1 1 6); 2θ 62.7, rel. 26, (3 0 0)

Atomic structure:
abc: 5.1347 5.1347 13.9644
angles: 90.00 90.00 120.00
Space group R3 (No. 146, hexagonal axes)
Symmetry-distinct sites (fractional):
Li (0.0000, 0.0000, 0.0000) (multiplicity 3)
Li (0.0000, 0.0000, 0.4964) (multiplicity 3)
Mg (0.0000, 0.0000, 0.7036) (multiplicity 3)
Zn (0.0000, 0.0000, 0.2060) (multiplicity 3)
F (0.0275, 0.6769, 0.7735) (multiplicity 9)
F (0.0313, 0.3611, 0.2758) (multiplicity 9)